Record 1
Computed powder diffractogram
Compound: Pr4Y2Bi3N2
Radiation: Cu Kα (weighted mean of Kα1 and Kα2)
Structure: a PBE-relaxed structure
Kinematic intensities with the Lorentz-polarization factor, no thermal factor.

Main lines, low angle first (10° ≤ 2θ ≤ 80°):
hkl  2θ (°)  Rel. int.
1 0 1  18.52  22
1 0 5  24.90  24
1 1 2  26.75  27
1 1 4  29.26  21
1 1 6  33.06  100
2 0 0  36.90  51
2 0 10  51.08  18
2 2 0  53.17  18
1 1 16  62.55  14
3 1 6  64.05  30

Cell and atoms:
```
data_Pr4Y2Bi3N2
_chemical_formula_sum 'Pr8 Y4 Bi6 N4'
_space_group_name_H-M_alt 'I 4/m m m'
_space_group_IT_number 139
_space_group_name_Hall '-I 4 2'
_cell_length_a 4.872
_cell_length_b 4.872
_cell_length_c 26.332
_cell_angle_alpha 90.00
_cell_angle_beta 90.00
_cell_angle_gamma 90.00
loop_
_atom_site_label
_atom_site_fract_x
_atom_site_fract_y
_atom_site_fract_z
_atom_site_occupancy
Pr1 0.000 0.500 0.085 1
Y1 0.000 0.000 0.192 1
Bi1 0.000 0.000 0.317 1
Bi2 0.000 0.000 0.500 1
N1 0.000 0.000 0.109 1
```



Record 2
Computed powder diffractogram
Compound: Tb7Tl2Hg2
Radiation: Cu Kα (weighted mean of Kα1 and Kα2)
Structure: a PBE-relaxed structure
Kinematic intensities with the Lorentz-polarization factor, no thermal factor.

Main lines, low angle first (10° ≤ 2θ ≤ 80°):
hkl  2θ (°)  Rel. int.
0 2 1  19.48  27
2 0 1  25.23  62
1 1 2  26.74  34
0 4 0  31.83  57
1 3 2  35.13  45
2 2 2  36.09  100
0 2 3  38.23  21
2 4 1  41.04  24
3 3 1  43.49  24
0 0 4  46.72  19

Cell and atoms:
```
data_Tb7Tl2Hg2
_chemical_formula_sum 'Tb14 Tl4 Hg4'
_space_group_name_H-M_alt 'C m m m'
_space_group_IT_number 65
_space_group_name_Hall '-C 2 2'
_cell_length_a 7.922
_cell_length_b 11.247
_cell_length_c 7.777
_cell_angle_alpha 90.00
_cell_angle_beta 90.00
_cell_angle_gamma 90.00
loop_
_atom_site_label
_atom_site_fract_x
_atom_site_fract_y
_atom_site_fract_z
_atom_site_occupancy
Tb1 0.000 0.000 0.000 1
Tb2 0.000 0.500 0.250 1
Tb3 0.250 0.250 0.283 1
Tl1 0.185 0.000 0.500 1
Hg1 0.000 0.287 0.000 1
```



> Number 1 is which compound?

Pr4Y2Bi3N2